(1)
TbPu2MoN4: calculated XRD peak list (Cu Kα (λ = 1.5418 Å)), based on a cell relaxed with GGA-PBE.
Peak positions follow from Bragg's law for the DFT cell and can differ from measured ones.

Peak list (10 most intense, 2θ = 5–70°, in order of rising 2θ)
2θ (°), d_spacing, I_rel
27.7, 3.225, 67
30.5, 2.932, 71
30.9, 2.896, 32
31.9, 2.807, 100
38.7, 2.324, 96
41.9, 2.155, 23
43.9, 2.061, 24
48.5, 1.878, 29
50.1, 1.821, 24
64.3, 1.450, 40

Structure:
Cell lengths 6.0967, 6.0967, 11.5851 Å; angles 90.00, 90.00, 148.25 degrees
Fractional coordinates of all 16 atoms:
Tb1 0.1217 0.8783 0.7500
Tb2 0.8783 0.1217 0.2500
Pu1 0.3683 0.6317 0.5454
Pu2 0.3683 0.6317 0.9546
Pu3 0.6317 0.3683 0.0454
Pu4 0.6317 0.3683 0.4546
Mo1 0.1410 0.8590 0.2500
Mo2 0.8590 0.1410 0.7500
N1 0.0000 0.0000 0.0000
N2 0.0000 0.0000 0.5000
N3 0.2673 0.7327 0.1238
N4 0.2673 0.7327 0.3762
N5 0.4689 0.5311 0.7500
N6 0.5311 0.4689 0.2500
N7 0.7327 0.2673 0.6238
N8 0.7327 0.2673 0.8762



(2)
Ac9SmY2: calculated XRD peak list (Cu Kα (λ = 1.5418 Å)), based on a cell relaxed with GGA-PBE.
Peak positions follow from Bragg's law for the DFT cell and can differ from measured ones.

Peak list (10 most intense, 2θ = 5–70°, in order of rising 2θ)
2θ (°), d_spacing, I_rel
16.1, 5.502, 5
22.9, 3.891, 5
28.1, 3.177, 100
32.5, 2.751, 51
36.5, 2.461, 3
40.1, 2.246, 2
46.7, 1.945, 38
55.4, 1.659, 47
58.1, 1.588, 14
68.2, 1.376, 6

Structure:
Cell lengths 5.5015, 5.5015, 16.5135 Å; angles 90.00, 90.00, 90.00 degrees
Fractional coordinates of all 12 atoms:
Ac1 0.0000 0.0000 0.0000
Ac2 0.0000 0.0000 0.3336
Ac3 0.0000 0.0000 0.6664
Ac4 0.0000 0.5000 0.1673
Ac5 0.0000 0.5000 0.5000
Ac6 0.0000 0.5000 0.8327
Ac7 0.5000 0.0000 0.1673
Ac8 0.5000 0.0000 0.5000
Ac9 0.5000 0.0000 0.8327
Sm1 0.5000 0.5000 0.0000
Y1 0.5000 0.5000 0.3339
Y2 0.5000 0.5000 0.6661



(3)
MgCd3F8: calculated XRD peak list (Cu Kα (λ = 1.5418 Å)), based on a cell relaxed with GGA-PBE.
Peak positions follow from Bragg's law for the DFT cell and can differ from measured ones.

Peak list (10 most intense, 2θ = 5–70°, in order of rising 2θ)
2θ (°), d_spacing, I_rel
16.5, 5.377, 12
23.4, 3.802, 14
28.8, 3.104, 100
33.3, 2.688, 17
37.4, 2.405, 10
41.1, 2.195, 7
47.9, 1.901, 69
56.8, 1.621, 42
59.6, 1.552, 5
70.0, 1.344, 10

Structure:
Cell lengths 5.3766, 5.3766, 5.3766 Å; angles 90.00, 90.00, 90.00 degrees
Fractional coordinates of all 12 atoms:
Mg1 0.0000 0.0000 0.0000
Cd1 0.0000 0.5000 0.5000
Cd2 0.5000 0.0000 0.5000
Cd3 0.5000 0.5000 0.0000
F1 0.2401 0.2401 0.2401
F2 0.2401 0.2401 0.7599
F3 0.2401 0.7599 0.2401
F4 0.2401 0.7599 0.7599
F5 0.7599 0.2401 0.2401
F6 0.7599 0.2401 0.7599
F7 0.7599 0.7599 0.2401
F8 0.7599 0.7599 0.7599



(4)
TbNdRhI: calculated XRD peak list (Cu Kα (λ = 1.5418 Å)), based on a cell relaxed with GGA-PBE.
Peak positions follow from Bragg's law for the DFT cell and can differ from measured ones.

Peak list (10 most intense, 2θ = 5–70°, in order of rising 2θ)
2θ (°), d_spacing, I_rel
10.9, 8.086, 18
26.0, 3.424, 17
29.0, 3.076, 30
31.1, 2.875, 100
33.2, 2.695, 11
36.1, 2.486, 13
43.9, 2.060, 46
45.2, 2.006, 20
54.8, 1.675, 20
56.2, 1.637, 15

Structure:
Cell lengths 4.1208, 4.1208, 24.2578 Å; angles 90.00, 90.00, 120.00 degrees
Fractional coordinates of all 12 atoms:
Tb1 0.0000 0.0000 0.0000
Tb2 0.3333 0.6667 0.6667
Tb3 0.6667 0.3333 0.3333
Nd1 0.0000 0.0000 0.7891
Nd2 0.3333 0.6667 0.4558
Nd3 0.6667 0.3333 0.1224
Rh1 0.0000 0.0000 0.3920
Rh2 0.3333 0.6667 0.0586
Rh3 0.6667 0.3333 0.7253
I1 0.0000 0.0000 0.5639
I2 0.3333 0.6667 0.2306
I3 0.6667 0.3333 0.8973



(5)
Cs5K4Cd4: calculated XRD peak list (Cu Kα (λ = 1.5418 Å)), based on a cell relaxed with GGA-PBE.
Peak positions follow from Bragg's law for the DFT cell and can differ from measured ones.

Peak list (10 most intense, 2θ = 5–70°, in order of rising 2θ)
2θ (°), d_spacing, I_rel
19.3, 4.587, 23
22.2, 4.008, 72
24.2, 3.683, 40
24.7, 3.604, 100
27.0, 3.301, 65
27.6, 3.230, 33
30.5, 2.932, 35
39.3, 2.294, 22
41.6, 2.171, 21
47.1, 1.929, 23

Structure:
Cell lengths 12.0098, 12.0098, 12.0098 Å; angles 93.42, 93.42, 151.74 degrees
Fractional coordinates of all 13 atoms:
Cs1 0.0000 0.0000 0.0000
Cs2 0.3009 0.6289 0.9298
Cs3 0.3711 0.3009 0.6720
Cs4 0.6289 0.6991 0.3280
Cs5 0.6991 0.3711 0.0702
K1 0.1105 0.4120 0.5226
K2 0.4120 0.8895 0.3015
K3 0.5880 0.1105 0.6985
K4 0.8895 0.5880 0.4774
Cd1 0.0568 0.7514 0.8082
Cd2 0.2486 0.0568 0.3055
Cd3 0.7514 0.9432 0.6945
Cd4 0.9432 0.2486 0.1918



(6)
NaHgH2Pd2: calculated XRD peak list (Cu Kα (λ = 1.5418 Å)), based on a cell relaxed with GGA-PBE.
Peak positions follow from Bragg's law for the DFT cell and can differ from measured ones.

Peak list (10 most intense, 2θ = 5–70°, in order of rising 2θ)
2θ (°), d_spacing, I_rel
11.9, 7.429, 100
19.7, 4.495, 12
24.9, 3.575, 11
28.8, 3.103, 23
28.9, 3.085, 23
37.3, 2.409, 17
38.4, 2.346, 42
42.3, 2.136, 12
42.9, 2.108, 12
46.5, 1.953, 11

Structure:
Cell lengths 4.6710, 5.6463, 7.5137 Å; angles 90.00, 98.61, 90.00 degrees
Fractional coordinates of all 12 atoms:
Na1 0.2140 0.2500 0.3866
Na2 0.7860 0.7500 0.6134
Hg1 0.1315 0.7500 0.0974
Hg2 0.8685 0.2500 0.9026
H1 0.2911 0.7500 0.6713
H2 0.3009 0.2500 0.6812
H3 0.6991 0.7500 0.3188
H4 0.7089 0.2500 0.3287
Pd1 0.3412 0.5007 0.8138
Pd2 0.3412 0.9993 0.8138
Pd3 0.6588 0.0007 0.1862
Pd4 0.6588 0.4993 0.1862



(7)
Tb2Sm5Er2: calculated XRD peak list (Cu Kα (λ = 1.5418 Å)), based on a cell relaxed with GGA-PBE.
Peak positions follow from Bragg's law for the DFT cell and can differ from measured ones.

Peak list (6 most intense, 2θ = 5–70°, in order of rising 2θ)
2θ (°), d_spacing, I_rel
30.5, 2.927, 100
35.4, 2.535, 51
50.9, 1.793, 36
60.5, 1.529, 29
60.6, 1.527, 14
63.6, 1.464, 12

Structure:
Cell lengths 8.0241, 8.0241, 8.0123 Å; angles 107.55, 107.55, 36.84 degrees
Fractional coordinates of all 9 atoms:
Tb1 0.1098 0.1098 0.1658
Tb2 0.8902 0.8902 0.8342
Sm1 0.0000 0.0000 0.5000
Sm2 0.2222 0.2222 0.8345
Sm3 0.3336 0.3336 0.4992
Sm4 0.6664 0.6664 0.5008
Sm5 0.7778 0.7778 0.1655
Er1 0.4449 0.4449 0.1644
Er2 0.5551 0.5551 0.8356



(8)
PaHI: calculated XRD peak list (Cu Kα (λ = 1.5418 Å)), based on a cell relaxed with GGA-PBE.
Peak positions follow from Bragg's law for the DFT cell and can differ from measured ones.

Peak list (10 most intense, 2θ = 5–70°, in order of rising 2θ)
2θ (°), d_spacing, I_rel
18.3, 4.840, 7
27.3, 3.271, 32
33.1, 2.710, 100
37.2, 2.420, 16
46.7, 1.945, 16
48.2, 1.888, 23
59.7, 1.549, 19
62.4, 1.489, 21
64.4, 1.447, 15
69.4, 1.355, 5

Structure:
Cell lengths 3.7765, 3.7765, 4.8396 Å; angles 90.00, 90.00, 120.00 degrees
Fractional coordinates of all 3 atoms:
Pa1 0.0000 0.0000 0.0000
H1 0.3333 0.6667 0.0000
I1 0.6667 0.3333 0.5000



(9)
IO: calculated XRD peak list (Cu Kα (λ = 1.5418 Å)), based on a cell relaxed with GGA-PBE.
Peak positions follow from Bragg's law for the DFT cell and can differ from measured ones.

Peak list (10 most intense, 2θ = 5–70°, in order of rising 2θ)
2θ (°), d_spacing, I_rel
23.2, 3.841, 100
24.7, 3.603, 95
28.8, 3.096, 56
29.5, 3.031, 53
34.7, 2.584, 39
41.7, 2.168, 48
42.6, 2.122, 23
50.7, 1.801, 22
53.8, 1.703, 18
54.2, 1.692, 18

Structure:
Cell lengths 3.3411, 4.0793, 7.6862 Å; angles 90.00, 91.66, 90.00 degrees
Fractional coordinates of all 4 atoms:
I1 0.2334 0.2500 0.2496
I2 0.7666 0.7500 0.7504
O1 0.2327 0.7500 0.2494
O2 0.7673 0.2500 0.7506



(10)
CuPd8Pt6: calculated XRD peak list (Cu Kα (λ = 1.5418 Å)), based on a cell relaxed with GGA-PBE.
Peak positions follow from Bragg's law for the DFT cell and can differ from measured ones.

Peak list (10 most intense, 2θ = 5–70°, in order of rising 2θ)
2θ (°), d_spacing, I_rel
16.6, 5.339, 16
24.0, 3.705, 32
29.3, 3.044, 9
32.6, 2.750, 15
40.9, 2.208, 20
41.7, 2.166, 100
42.2, 2.139, 78
45.7, 1.986, 7
60.9, 1.522, 27
65.8, 1.419, 10

Structure:
Cell lengths 7.4107, 7.4107, 5.3391 Å; angles 90.00, 90.00, 120.00 degrees
Fractional coordinates of all 15 atoms:
Cu1 0.0000 0.0000 0.0000
Pd1 0.0359 0.3533 0.3977
Pd2 0.3175 0.9641 0.3977
Pd3 0.3333 0.6667 0.7628
Pd4 0.3533 0.3175 0.6023
Pd5 0.6467 0.6825 0.3977
Pd6 0.6667 0.3333 0.2372
Pd7 0.6825 0.0359 0.6023
Pd8 0.9641 0.6467 0.6023
Pt1 0.0320 0.6781 0.1043
Pt2 0.3219 0.3539 0.1043
Pt3 0.3539 0.0320 0.8957
Pt4 0.6461 0.9680 0.1043
Pt5 0.6781 0.6461 0.8957
Pt6 0.9680 0.3219 0.8957



(11)
Ho4TmZn5: calculated XRD peak list (Cu Kα (λ = 1.5418 Å)), based on a cell relaxed with GGA-PBE.
Peak positions follow from Bragg's law for the DFT cell and can differ from measured ones.

Peak list (6 most intense, 2θ = 5–70°, in order of rising 2θ)
2θ (°), d_spacing, I_rel
25.1, 3.547, 19
35.8, 2.508, 100
44.2, 2.048, 6
51.5, 1.773, 18
58.2, 1.586, 8
64.3, 1.448, 36

Structure:
Cell lengths 3.5463, 3.5463, 17.7416 Å; angles 90.00, 90.00, 90.00 degrees
Fractional coordinates of all 10 atoms:
Ho1 0.0000 0.0000 0.1004
Ho2 0.0000 0.0000 0.3008
Ho3 0.0000 0.0000 0.6992
Ho4 0.0000 0.0000 0.8996
Tm1 0.0000 0.0000 0.5000
Zn1 0.5000 0.5000 0.0000
Zn2 0.5000 0.5000 0.2006
Zn3 0.5000 0.5000 0.4019
Zn4 0.5000 0.5000 0.5981
Zn5 0.5000 0.5000 0.7994



(12)
Er3ScZn2: calculated XRD peak list (Cu Kα (λ = 1.5418 Å)), based on a cell relaxed with GGA-PBE.
Peak positions follow from Bragg's law for the DFT cell and can differ from measured ones.

Peak list (10 most intense, 2θ = 5–70°, in order of rising 2θ)
2θ (°), d_spacing, I_rel
9.9, 8.924, 25
24.8, 3.597, 31
30.3, 2.949, 43
33.1, 2.705, 67
34.3, 2.617, 33
34.6, 2.589, 79
35.2, 2.550, 100
36.3, 2.476, 64
41.3, 2.188, 23
62.8, 1.479, 22

Structure:
Cell lengths 4.9521, 8.9237, 6.4614 Å; angles 90.00, 90.00, 90.00 degrees
Fractional coordinates of all 12 atoms:
Er1 0.0000 0.0510 0.0000
Er2 0.0000 0.3336 0.3385
Er3 0.0000 0.6664 0.8385
Er4 0.0000 0.9490 0.5000
Er5 0.5000 0.1821 0.6862
Er6 0.5000 0.8179 0.1862
Sc1 0.5000 0.4479 0.0322
Sc2 0.5000 0.5521 0.5322
Zn1 0.0000 0.3490 0.8000
Zn2 0.0000 0.6510 0.3000
Zn3 0.5000 0.1543 0.2314
Zn4 0.5000 0.8457 0.7314



Repeat the seventh record exactly.
Tb2Sm5Er2: calculated XRD peak list (Cu Kα (λ = 1.5418 Å)), based on a cell relaxed with GGA-PBE.
Peak positions follow from Bragg's law for the DFT cell and can differ from measured ones.

Peak list (6 most intense, 2θ = 5–70°, in order of rising 2θ)
2θ (°), d_spacing, I_rel
30.5, 2.927, 100
35.4, 2.535, 51
50.9, 1.793, 36
60.5, 1.529, 29
60.6, 1.527, 14
63.6, 1.464, 12

Structure:
Cell lengths 8.0241, 8.0241, 8.0123 Å; angles 107.55, 107.55, 36.84 degrees
Fractional coordinates of all 9 atoms:
Tb1 0.1098 0.1098 0.1658
Tb2 0.8902 0.8902 0.8342
Sm1 0.0000 0.0000 0.5000
Sm2 0.2222 0.2222 0.8345
Sm3 0.3336 0.3336 0.4992
Sm4 0.6664 0.6664 0.5008
Sm5 0.7778 0.7778 0.1655
Er1 0.4449 0.4449 0.1644
Er2 0.5551 0.5551 0.8356



Number 4 is which compound? TbNdRhI